(1)
For Re3C, a structure optimized by DFT (GGA-PBE) gives the theoretical powder diffraction line list in this record (λ = 1.5418 Å (Cu Kα)).
No peak broadening, texture or thermal motion is included.

Cell and atoms:
Cell: 5.3248 7.7233 4.8772 Å, 90.00 90.00 90.00°
Element x y z (fractional)
Re: 0.0396 0.2500 0.1693
Re: 0.1905 0.0739 0.6681
Re: 0.1905 0.4261 0.6681
Re: 0.3095 0.5739 0.1681
Re: 0.3095 0.9261 0.1681
Re: 0.4604 0.7500 0.6693
Re: 0.5396 0.2500 0.3307
Re: 0.6905 0.0739 0.8319
Re: 0.6905 0.4261 0.8319
Re: 0.8095 0.5739 0.3319
Re: 0.8095 0.9261 0.3319
Re: 0.9604 0.7500 0.8307
C: 0.1109 0.7500 0.4253
C: 0.3891 0.2500 0.9253
C: 0.6109 0.7500 0.0747
C: 0.8891 0.2500 0.5747

The 10 most intense peaks (2θ from 5° to 70°), low angle first:
2θ/deg, I_rel
34.07, 19
35.67, 21
36.86, 22
39.58, 100
40.32, 52
40.69, 45
41.18, 43
42.42, 32
43.22, 26
45.36, 27

***

(2)
For ReC7, a structure optimized by DFT (GGA-PBE) gives the theoretical powder diffraction line list in this record (λ = 1.5418 Å (Cu Kα)).
No peak broadening, texture or thermal motion is included.

Cell and atoms:
Cell: 4.4574 4.4574 4.4574 Å, 60.00 60.00 60.00°
Element x y z (fractional)
Re: 0.0000 0.0000 0.0000
C: 0.0000 0.0000 0.5000
C: 0.0000 0.5000 0.0000
C: 0.0000 0.5000 0.5000
C: 0.5000 0.0000 0.0000
C: 0.5000 0.0000 0.5000
C: 0.5000 0.5000 0.0000
C: 0.5000 0.5000 0.5000

The 8 most intense peaks (2θ from 5° to 70°), low angle first:
2θ/deg, I_rel
24.46, 100
28.32, 52
40.47, 42
47.86, 52
50.13, 30
58.57, 14
64.43, 22
66.31, 20